No. 1
Computed PXRD pattern of Na3Pm2HfTe6 for Cu Kα (λ = 1.5418 Å), from a cell relaxed with GGA-PBE.
Lines closer than 0.1° are merged.

Principal peaks in the range 2θ from 5° to 70°, by intensity:
d_spacing, 2θ/deg, I/Imax
3.158, 28.26, 100
2.283, 39.48, 39
7.629, 11.60, 36
2.187, 41.29, 35
1.798, 50.79, 19
1.389, 67.44, 14

Cell and atoms:
```
Na3Pm2HfTe6
1.0
3.786 -6.561 0.000
3.786 6.561 0.000
-2.543 0.000 7.629
Na Pm Hf Te
3 2 1 6
Cartesian
0.000 0.000 0.000 Na
3.786 2.275 0.000 Na
3.786 -2.275 0.000 Na
2.515 4.387 3.815 Pm
2.515 -4.387 3.815 Pm
2.515 0.000 3.815 Hf
1.337 2.051 2.039 Te
0.158 0.000 5.593 Te
1.337 -2.051 2.039 Te
3.693 2.051 5.590 Te
4.872 0.000 2.036 Te
3.693 -2.051 5.590 Te
```

---

No. 2
Computed PXRD pattern of SmTi2Ga6 for Cu Kα (λ = 1.5418 Å), from a cell relaxed with GGA-PBE.
Lines closer than 0.1° are merged.

Principal peaks in the range 2θ from 5° to 70°, by intensity:
d_spacing, 2θ/deg, I/Imax
2.554, 35.13, 100
3.047, 29.31, 71
2.309, 39.01, 55
1.975, 45.96, 45
2.054, 44.08, 39
1.788, 51.09, 35

Cell and atoms:
```
SmTi2Ga6
1.0
-2.054 3.383 6.132
2.054 -3.383 6.132
2.054 3.383 -6.132
Sm Ti Ga
1 2 6
Cartesian
0.000 0.000 0.000 Sm
2.054 0.000 4.711 Ti
0.000 3.383 1.421 Ti
2.054 1.387 -2.370 Ga
2.054 2.172 0.000 Ga
2.054 1.387 2.370 Ga
0.000 1.996 3.762 Ga
0.000 1.211 6.132 Ga
0.000 1.996 8.502 Ga
```

---

No. 3
Computed PXRD pattern of Tl7Au3 for Cu Kα (λ = 1.5418 Å), from a cell relaxed with GGA-PBE.
Lines closer than 0.1° are merged.

Principal peaks in the range 2θ from 5° to 70°, by intensity:
d_spacing, 2θ/deg, I/Imax
2.454, 36.62, 100
3.005, 29.73, 50
1.417, 65.94, 44
2.782, 32.17, 40
1.735, 52.76, 22
2.125, 42.55, 22

Cell and atoms:
```
Tl7Au3
1.0
-5.205 5.205 5.205
5.205 -5.205 5.205
5.205 5.205 -5.205
Tl Au
14 6
Cartesian
1.714 1.714 -1.714 Tl
3.491 3.491 -3.491 Tl
1.714 -1.714 1.714 Tl
3.491 -3.491 3.491 Tl
5.205 2.602 0.000 Tl
5.205 0.000 2.602 Tl
-1.714 1.714 1.714 Tl
1.714 1.714 1.714 Tl
2.602 5.205 0.000 Tl
2.602 0.000 5.205 Tl
-3.491 3.491 3.491 Tl
3.491 3.491 3.491 Tl
0.000 5.205 2.602 Tl
0.000 2.602 5.205 Tl
3.486 0.000 0.000 Au
6.923 0.000 0.000 Au
0.000 3.486 0.000 Au
0.000 0.000 3.486 Au
0.000 6.923 0.000 Au
0.000 0.000 6.923 Au
```

---

No. 4
Computed PXRD pattern of CeZnCuPt3 for Cu Kα (λ = 1.5418 Å), from a cell relaxed with GGA-PBE.
Lines closer than 0.1° are merged.

Principal peaks in the range 2θ from 5° to 70°, by intensity:
d_spacing, 2θ/deg, I/Imax
2.001, 45.32, 100
2.627, 34.13, 80
2.577, 34.82, 76
2.164, 41.74, 53
2.136, 42.32, 51
1.481, 62.72, 41

Cell and atoms:
```
CeZnCuPt3
1.0
2.798 -6.611 0.000
2.798 6.611 0.000
0.000 0.000 5.726
Ce Zn Cu Pt
2 2 2 6
Cartesian
2.798 4.312 4.294 Ce
2.798 -4.312 1.431 Ce
2.798 4.902 1.431 Zn
2.798 -4.902 4.294 Zn
2.798 1.631 4.294 Cu
2.798 -1.631 1.431 Cu
1.405 0.000 0.000 Pt
1.405 0.000 2.863 Pt
2.798 2.337 1.431 Pt
2.798 -2.337 4.294 Pt
4.191 0.000 0.000 Pt
4.191 0.000 2.863 Pt
```

---

No. 5
Computed PXRD pattern of CsTlFe2Cl6 for Cu Kα (λ = 1.5418 Å), from a cell relaxed with GGA-PBE.
Lines closer than 0.1° are merged.

Principal peaks in the range 2θ from 5° to 70°, by intensity:
d_spacing, 2θ/deg, I/Imax
4.313, 20.59, 100
3.772, 23.59, 64
3.559, 25.02, 45
2.705, 33.12, 32
6.861, 12.90, 32
3.829, 23.23, 29

Cell and atoms:
```
CsTlFe2Cl6
1.0
6.999 -6.898 0.000
6.999 6.898 0.000
-1.466 0.000 7.118
Cs Tl Fe Cl
2 2 4 12
Cartesian
5.900 4.363 5.339 Cs
6.633 -4.363 1.780 Cs
6.633 1.412 1.780 Tl
5.900 -1.412 5.339 Tl
1.870 1.146 5.466 Fe
2.602 -1.146 1.906 Fe
9.931 1.146 5.212 Fe
10.663 -1.146 1.653 Fe
4.465 3.718 2.206 Cl
2.068 0.305 0.136 Cl
1.336 -0.305 3.695 Cl
4.096 1.195 5.868 Cl
8.801 3.718 1.353 Cl
4.829 -1.195 2.308 Cl
7.704 1.195 4.810 Cl
3.732 -3.718 5.765 Cl
8.437 -1.195 1.251 Cl
11.197 0.305 3.424 Cl
10.465 -0.305 6.983 Cl
8.069 -3.718 4.912 Cl
```

---

No. 6
Computed PXRD pattern of Ho5ZnSb2 for Cu Kα (λ = 1.5418 Å), from a cell relaxed with GGA-PBE.
Lines closer than 0.1° are merged.

Principal peaks in the range 2θ from 5° to 70°, by intensity:
d_spacing, 2θ/deg, I/Imax
2.627, 34.13, 100
2.823, 31.70, 58
2.868, 31.18, 57
2.836, 31.55, 27
1.589, 58.04, 26
1.638, 56.14, 20

Cell and atoms:
```
Ho5ZnSb2
1.0
2.823 -5.794 0.000
2.823 5.794 0.000
0.000 0.000 13.906
Ho Zn Sb
10 2 4
Cartesian
2.823 4.980 8.407 Ho
2.823 4.980 12.452 Ho
2.823 1.434 7.675 Ho
2.823 1.434 13.184 Ho
2.823 0.998 3.477 Ho
2.823 -0.998 10.430 Ho
2.823 -1.434 0.722 Ho
2.823 -1.434 6.231 Ho
2.823 -4.980 1.454 Ho
2.823 -4.980 5.499 Ho
2.823 2.461 10.430 Zn
2.823 -2.461 3.477 Zn
2.823 3.486 1.615 Sb
2.823 3.486 5.338 Sb
2.823 -3.486 8.568 Sb
2.823 -3.486 12.291 Sb
```

---

No. 7
Computed PXRD pattern of Ca3Ag8Au for Cu Kα (λ = 1.5418 Å), from a cell relaxed with GGA-PBE.
Lines closer than 0.1° are merged.

Principal peaks in the range 2θ from 5° to 70°, by intensity:
d_spacing, 2θ/deg, I/Imax
2.418, 37.19, 100
2.313, 38.94, 50
2.428, 37.02, 31
4.626, 19.18, 25
2.330, 38.65, 19
1.415, 66.01, 18

Cell and atoms:
```
Ca3Ag8Au
1.0
2.831 1.634 9.318
-2.831 1.634 9.318
0.000 -3.268 9.318
Ca Ag Au
3 8 1
Cartesian
0.000 0.000 0.000 Ca
0.000 0.000 3.673 Ca
0.000 0.000 17.024 Ca
0.000 -1.647 6.354 Ag
-1.426 0.823 6.354 Ag
-1.415 -0.817 11.035 Ag
0.000 0.000 8.686 Ag
1.415 -0.817 11.035 Ag
0.000 1.634 11.035 Ag
1.426 0.823 6.354 Ag
0.000 0.000 22.673 Ag
0.000 0.000 13.817 Au
```

---

No. 8
Computed PXRD pattern of ErTh4As5 for Cu Kα (λ = 1.5418 Å), from a cell relaxed with GGA-PBE.
Lines closer than 0.1° are merged.

Principal peaks in the range 2θ from 5° to 70°, by intensity:
d_spacing, 2θ/deg, I/Imax
2.987, 29.92, 100
2.112, 42.82, 76
3.449, 25.84, 41
1.724, 53.12, 27
1.801, 50.69, 21
1.370, 68.47, 9

Cell and atoms:
```
ErTh4As5
1.0
-4.719 4.719 2.991
4.719 -4.719 2.991
4.719 4.719 -2.991
Er Th As
1 4 5
Cartesian
0.000 0.000 0.000 Er
3.787 1.883 0.000 Th
2.836 -0.932 2.991 Th
1.883 5.651 0.000 Th
0.932 2.836 2.991 Th
6.666 0.931 0.000 As
0.931 2.772 0.000 As
0.000 0.000 2.991 As
3.788 1.947 2.991 As
-1.947 3.788 2.991 As
```

---

No. 9
Computed PXRD pattern of PmSnIrRh for Cu Kα (λ = 1.5418 Å), from a cell relaxed with GGA-PBE.
Lines closer than 0.1° are merged.

Principal peaks in the range 2θ from 5° to 70°, by intensity:
d_spacing, 2θ/deg, I/Imax
2.394, 37.58, 100
1.382, 67.82, 36
1.693, 54.19, 18
3.909, 22.75, 5
2.041, 44.38, 3
1.553, 59.52, 1

Cell and atoms:
```
PmSnIrRh
1.0
6.770 0.000 0.000
0.000 6.770 0.000
0.000 0.000 6.770
Pm Sn Ir Rh
4 4 4 4
Cartesian
0.000 0.000 0.000 Pm
0.000 3.385 3.385 Pm
3.385 0.000 3.385 Pm
3.385 3.385 0.000 Pm
0.000 0.000 3.385 Sn
0.000 3.385 0.000 Sn
3.385 0.000 0.000 Sn
3.385 3.385 3.385 Sn
1.693 1.693 1.693 Ir
1.693 5.078 5.078 Ir
5.078 1.693 5.078 Ir
5.078 5.078 1.693 Ir
1.693 1.693 5.078 Rh
1.693 5.078 1.693 Rh
5.078 1.693 1.693 Rh
5.078 5.078 5.078 Rh
```

---

No. 10
Computed PXRD pattern of Er4ZnGa3 for Cu Kα (λ = 1.5418 Å), from a cell relaxed with GGA-PBE.
Lines closer than 0.1° are merged.

Principal peaks in the range 2θ from 5° to 70°, by intensity:
d_spacing, 2θ/deg, I/Imax
2.826, 31.66, 100
2.278, 39.56, 45
2.735, 32.74, 43
1.644, 55.94, 31
3.284, 27.15, 29
2.723, 32.90, 26

Cell and atoms:
```
Er4ZnGa3
1.0
4.117 0.000 0.000
0.000 4.159 0.000
0.000 0.000 10.890
Er Zn Ga
4 1 3
Cartesian
0.000 0.000 0.000 Er
0.000 2.080 5.429 Er
2.059 0.000 3.077 Er
2.059 2.080 8.538 Er
2.059 0.000 6.164 Zn
0.000 0.000 7.843 Ga
0.000 2.080 2.355 Ga
2.059 2.080 0.722 Ga
```

---

No. 11
Computed PXRD pattern of Sc4CdGa2 for Cu Kα (λ = 1.5418 Å), from a cell relaxed with GGA-PBE.
Lines closer than 0.1° are merged.

Principal peaks in the range 2θ from 5° to 70°, by intensity:
d_spacing, 2θ/deg, I/Imax
2.346, 38.38, 100
4.013, 22.15, 78
2.181, 41.39, 65
3.195, 27.93, 23
1.597, 57.71, 23
2.529, 35.49, 22

Cell and atoms:
```
Sc4CdGa2
1.0
2.346 1.354 8.619
-2.346 1.354 8.619
0.000 -2.708 8.619
Sc Cd Ga
4 1 2
Cartesian
0.000 0.000 2.984 Sc
0.000 0.000 7.614 Sc
0.000 0.000 18.244 Sc
0.000 0.000 22.874 Sc
0.000 0.000 12.929 Cd
0.000 0.000 10.346 Ga
0.000 0.000 15.512 Ga
```

---

No. 12
Computed PXRD pattern of CaN4 for Cu Kα (λ = 1.5418 Å), from a cell relaxed with GGA-PBE.
Lines closer than 0.1° are merged.

Principal peaks in the range 2θ from 5° to 70°, by intensity:
d_spacing, 2θ/deg, I/Imax
2.490, 36.07, 100
2.298, 39.20, 66
4.901, 18.10, 45
3.221, 27.69, 27
3.206, 27.83, 27
2.128, 42.48, 24

Cell and atoms:
```
CaN4
1.0
9.803 0.000 0.000
0.000 3.233 0.000
-0.021 0.000 4.255
Ca N
2 8
Cartesian
0.000 0.000 0.000 Ca
4.902 1.616 0.000 Ca
1.308 1.616 1.544 N
1.307 1.616 2.716 N
3.573 0.000 1.539 N
3.573 0.000 2.712 N
6.209 0.000 1.544 N
6.209 0.000 2.716 N
8.475 1.616 1.539 N
8.474 1.616 2.712 N
```

---

No. 13
Computed PXRD pattern of BeRuSe2 for Cu Kα (λ = 1.5418 Å), from a cell relaxed with GGA-PBE.
Lines closer than 0.1° are merged.

Principal peaks in the range 2θ from 5° to 70°, by intensity:
d_spacing, 2θ/deg, I/Imax
7.031, 12.59, 100
3.080, 28.99, 87
1.985, 45.70, 77
2.912, 30.70, 67
2.243, 40.21, 39
1.591, 57.96, 24

Cell and atoms:
```
BeRuSe2
1.0
3.156 0.000 0.000
0.000 3.717 0.000
0.000 0.000 14.061
Be Ru Se
2 2 4
Cartesian
0.000 0.000 0.000 Be
1.578 1.858 7.031 Be
0.000 0.000 7.031 Ru
1.578 1.858 0.000 Ru
0.000 1.858 5.327 Se
0.000 1.858 8.734 Se
1.578 0.000 1.704 Se
1.578 0.000 12.357 Se
```